No. 1
Dy5NiSb2: computed powder diffractogram (Cu Kα, 1.54184 Å), based on a PBE-relaxed structure.

Main lines, low angle first (10 to 80 degrees two-theta):
index, Position (°2θ), Rel. int.
1 2 1, 27.30, 32
2 1 1, 31.09, 100
1 4 0, 31.67, 82
1 3 1, 32.01, 82
2 2 1, 33.70, 67
3 1 0, 34.73, 28
0 0 2, 40.53, 48
1 4 2, 52.32, 40

Cell and atoms:
Lattice parameters (Å, degrees): 7.932 12.093 4.452 90.00 90.00 90.00
Space group Pbam (No. 55)
Symmetry-distinct sites (fractional):
Dy  0.000  0.000  0.000 x2
Dy  0.141  0.301  0.000 x4
Dy  0.182  0.563  0.500 x4
Ni  0.000  0.500  0.000 x2
Sb  0.072  0.827  0.500 x4

No. 2
Ac3PrIn3: computed powder diffractogram (Cu Kα, 1.54184 Å), based on a PBE-relaxed structure.

Main lines, low angle first (10 to 80 degrees two-theta):
index, Position (°2θ), Rel. int.
2 2 0, 21.98, 15
0 0 2, 22.72, 8
0 4 0, 30.73, 23
2 2 2, 31.82, 100
4 4 0, 44.82, 14
2 6 2, 55.33, 16
0 4 4, 56.69, 20
4 4 4, 66.49, 10

Cell and atoms:
Lattice parameters (Å, degrees): 11.251 11.637 7.826 90.00 90.00 90.00
Space group Cmmm (No. 65)
Symmetry-distinct sites (fractional):
Ac  0.000  0.244  0.000 x4
Ac  0.218  0.000  0.500 x4
Ac  0.244  0.500  0.000 x4
Pr  0.000  0.263  0.500 x4
In  0.000  0.500  0.270 x4
In  0.250  0.250  0.265 x8

No. 3
Rb2MgUS6: computed powder diffractogram (Cu Kα, 1.54184 Å), based on a PBE-relaxed structure.

Main lines, low angle first (10 to 80 degrees two-theta):
index, Position (°2θ), Rel. int.
0 1 1, 15.03, 65
1 1 0, 17.37, 20
2 0 0, 24.66, 100
1 2 1, 29.00, 42
2 2 0, 35.16, 62
2 0 4, 43.39, 31
2 2 4, 50.54, 35
3 3 2, 57.03, 18

Cell and atoms:
Lattice parameters (Å, degrees): 7.205 7.233 10.214 90.00 90.00 90.00
Space group Immm (No. 71)
Symmetry-distinct sites (fractional):
Rb  0.000  0.000  0.250 x4
Mg  0.000  0.500  0.000 x2
U  0.000  0.500  0.500 x2
S  0.000  0.500  0.252 x4
S  0.248  0.252  0.500 x8

No. 4
Ac3CeRh3: computed powder diffractogram (Cu Kα, 1.54184 Å), based on a PBE-relaxed structure.

Main lines, low angle first (10 to 80 degrees two-theta):
index, Position (°2θ), Rel. int.
2 2 2, 25.95, 35
4 0 0, 30.06, 100
4 4 0, 43.02, 75
6 2 2, 50.93, 18
4 4 4, 53.37, 26
8 0 0, 62.47, 12
8 4 0, 70.87, 33
8 4 4, 78.86, 25

Cell and atoms:
Lattice parameters (Å, degrees): 11.893 11.893 11.893 90.00 90.00 90.00
Space group I4_132 (No. 214)
Symmetry-distinct sites (fractional):
Ac  0.120  0.375  0.370 x24
Ce  0.125  0.125  0.125 x8
Rh  0.119  0.369  0.125 x24

No. 5
La4CeN5: computed powder diffractogram (Cu Kα, 1.54184 Å), based on a PBE-relaxed structure.

Main lines, low angle first (10 to 80 degrees two-theta):
index, Position (°2θ), Rel. int.
1 0 5, 29.45, 100
1 1 0, 34.14, 76
2 0 0, 49.05, 53
1 0 15, 58.25, 46
2 0 10, 61.11, 18
2 2 0, 71.90, 8
2 1 15, 79.54, 19

Cell and atoms:
Lattice parameters (Å, degrees): 3.713 3.713 26.283 90.00 90.00 90.00
Space group I4/mmm (No. 139)
Symmetry-distinct sites (fractional):
La  0.000  0.000  0.098 x4
La  0.000  0.000  0.299 x4
Ce  0.000  0.000  0.500 x2
N  0.000  0.000  0.000 x2
N  0.000  0.000  0.200 x4
N  0.000  0.000  0.410 x4

No. 6
TmThSi2Pt2: computed powder diffractogram (Cu Kα, 1.54184 Å), based on a PBE-relaxed structure.

Main lines, low angle first (10 to 80 degrees two-theta):
index, Position (°2θ), Rel. int.
0 1 1, 26.88, 39
1 0 2, 33.45, 100
0 1 3, 42.39, 10
1 1 0, 42.84, 47
0 0 4, 46.12, 11
0 2 2, 55.41, 24
1 1 4, 64.75, 25
2 1 2, 72.48, 22

Cell and atoms:
Lattice parameters (Å, degrees): 4.2223 4.2223 7.8733 90.00 90.00 120.00
Space group P-3m1 (No. 164)
Symmetry-distinct sites (fractional):
Tm  0.0000  0.0000  0.0000 x1
Th  0.0000  0.0000  0.5000 x1
Si  0.3333  0.6667  0.2462 x2
Pt  0.3333  0.6667  0.7698 x2

No. 7
V12NiGe6: computed powder diffractogram (Cu Kα, 1.54184 Å), based on a PBE-relaxed structure.

Main lines, low angle first (10 to 80 degrees two-theta):
index, Position (°2θ), Rel. int.
1 1 3, 31.10, 20
0 2 4, 39.60, 15
0 1 5, 41.94, 41
0 3 3, 42.33, 58
1 3 1, 42.52, 100
3 -1 4, 44.60, 50
4 -1 2, 44.87, 72
5 2 0, 76.10, 16

Cell and atoms:
Lattice parameters (Å, degrees): 9.0161 9.0161 11.2052 90.00 90.00 120.00
Space group R-3 (No. 148, hexagonal axes)
Symmetry-distinct sites (fractional):
V  0.0576  0.1883  0.3038 x18
V  0.0692  0.8435  0.9132 x18
Ni  0.0000  0.0000  0.5000 x3
Ge  0.0288  0.4416  0.2151 x18

No. 8
CeDy2Er3Tm6: computed powder diffractogram (Cu Kα, 1.54184 Å), based on a PBE-relaxed structure.

Main lines, low angle first (10 to 80 degrees two-theta):
index, Position (°2θ), Rel. int.
1 3 2, 31.25, 100
0 6 0, 36.09, 17
2 0 0, 36.32, 34
2 6 0, 52.13, 24
2 0 4, 52.31, 12
1 9 2, 61.90, 14
3 3 2, 62.21, 28
2 6 4, 65.20, 12

Cell and atoms:
Lattice parameters (Å, degrees): 4.947 14.933 9.892 90.00 90.00 90.00
Space group Cmmm (No. 65)
Symmetry-distinct sites (fractional):
Ce  0.000  0.000  0.000 x2
Dy  0.000  0.334  0.000 x4
Er  0.000  0.000  0.500 x2
Er  0.000  0.332  0.500 x4
Tm  0.000  0.166  0.251 x8
Tm  0.000  0.500  0.249 x4

No. 9
YZnAgSn: computed powder diffractogram (Cu Kα, 1.54184 Å), based on a PBE-relaxed structure.

Main lines, low angle first (10 to 80 degrees two-theta):
index, Position (°2θ), Rel. int.
1 1 1, 21.95, 4
2 2 0, 36.23, 100
3 1 1, 42.76, 2
4 0 0, 52.16, 17
3 3 1, 57.25, 1
4 2 2, 65.16, 35
5 1 1, 69.66, 1
4 4 0, 76.89, 11

Cell and atoms:
Lattice parameters (Å, degrees): 7.014 7.014 7.014 90.00 90.00 90.00
Space group F-43m (No. 216)
Symmetry-distinct sites (fractional):
Y  0.000  0.000  0.000 x4
Zn  0.250  0.250  0.250 x4
Ag  0.250  0.250  0.750 x4
Sn  0.000  0.000  0.500 x4

No. 10
LaAg2Au9: computed powder diffractogram (Cu Kα, 1.54184 Å), based on a PBE-relaxed structure.

Main lines, low angle first (10 to 80 degrees two-theta):
index, Position (°2θ), Rel. int.
1 0 1, 18.73, 33
0 2 1, 37.53, 28
1 1 6, 37.81, 100
0 0 12, 39.02, 35
2 0 5, 40.91, 43
0 2 7, 44.07, 19
0 3 6, 61.20, 25
2 2 0, 67.46, 25

Cell and atoms:
Lattice parameters (Å, degrees): 5.5531 5.5531 27.7011 90.00 90.00 120.00
Space group R-3m (No. 166, hexagonal axes)
Symmetry-distinct sites (fractional):
La  0.0000  0.0000  0.0000 x3
Ag  0.0000  0.0000  0.1498 x6
Au  0.0000  0.0000  0.3332 x6
Au  0.0000  0.0000  0.5000 x3
Au  0.0037  0.5018  0.9139 x18

No. 11
Pr5Sn4: computed powder diffractogram (Cu Kα, 1.54184 Å), based on a PBE-relaxed structure.

Main lines, low angle first (10 to 80 degrees two-theta):
index, Position (°2θ), Rel. int.
1 1 2, 29.12, 100
3 1 -1, 29.43, 64
4 0 -1, 30.52, 38
1 1 -3, 30.90, 69
3 1 -3, 34.02, 60
3 1 1, 34.97, 54
0 2 0, 37.78, 59
4 2 -1, 49.35, 28

Cell and atoms:
Lattice parameters (Å, degrees): 11.821 4.763 10.976 90.00 113.27 90.00
Space group C2/m (No. 12)
Symmetry-distinct sites (fractional):
Pr  0.000  0.000  0.000 x2
Pr  0.093  0.000  0.389 x4
Pr  0.250  0.000  0.835 x4
Sn  0.049  0.500  0.836 x4
Sn  0.134  0.500  0.610 x4